# 1
Calculated powder diffraction line list of InCo17 for Cu Kα X-rays, from a DFT-relaxed cell (GGA-PBE, OQMD).
Intensities are scaled so that the largest is 100.

Top 8 peaks for 10 to 90 degrees two-theta, most intense first:
2θ/deg  I_rel  h k l
44.98  100  1 2 -5
52.61  48  2 0 -10
44.00  47  2 0 4
50.76  36  1 2 9
77.20  28  3 2 0
42.37  27  0 0 14
45.58  21  0 0 15
11.86  18  0 0 4

Cell and atoms:
Cell: 4.2816 4.9437 29.8558 Å, 90.00 90.01 90.00°
Space group P2_1/m (No. 11)
Asymmetric unit:
In1 0.1650 0.2500 0.2000 x2
Co1 0.0000 0.0000 0.5000 x2
Co2 0.0015 0.0026 0.2957 x4
Co3 0.1633 0.2500 0.6369 x2
Co4 0.1634 0.7500 0.2306 x2
Co5 0.1663 0.7500 0.4318 x2
Co6 0.1666 0.2500 0.4322 x2
Co7 0.1689 0.7500 0.6358 x2
Co8 0.3339 0.0002 0.5681 x4
Co9 0.3342 0.0007 0.3643 x4
Co10 0.3350 0.0055 0.7702 x4
Co11 0.4985 0.7500 0.7041 x2
Co12 0.5000 0.2500 0.4998 x2
Co13 0.5000 0.2500 0.7038 x2

---

# 2
Calculated powder diffraction line list of BeAgBi2 for Cu Kα X-rays, from a DFT-relaxed cell (GGA-PBE, OQMD).
Intensities are scaled so that the largest is 100.

Top 8 peaks for 10 to 90 degrees two-theta, most intense first:
2θ/deg  I_rel  h k l
35.08  100  2 2 0
21.27  39  1 1 1
62.94  37  4 2 2
41.39  22  3 1 1
50.46  18  4 0 0
84.75  17  6 2 0
74.14  12  4 4 0
55.35  10  3 3 1

Cell and atoms:
Cell: 7.2345 7.2345 7.2345 Å, 90.00 90.00 90.00°
Space group F-43m (No. 216)
Asymmetric unit:
Be1 0.0000 0.0000 0.0000 x4
Ag1 0.2500 0.2500 0.2500 x4
Bi1 0.0000 0.0000 0.5000 x4
Bi2 0.2500 0.2500 0.7500 x4

---

# 3
Calculated powder diffraction line list of U2Ga8Cu for Cu Kα X-rays, from a DFT-relaxed cell (GGA-PBE, OQMD).
Intensities are scaled so that the largest is 100.

Top 8 peaks for 10 to 90 degrees two-theta, most intense first:
2θ/deg  I_rel  h k l
38.44  100  1 1 3
42.22  51  2 0 0
33.73  41  1 1 2
20.75  35  1 0 0
74.67  28  3 1 3
60.07  22  2 0 5
31.99  21  1 0 3
40.68  17  0 0 5

Cell and atoms:
Cell: 4.2809 4.2809 11.0897 Å, 90.00 90.00 90.00°
Space group P4/mmm (No. 123)
Asymmetric unit:
U1 0.0000 0.0000 0.1905 x2
Ga1 0.0000 0.5000 0.0000 x2
Ga2 0.0000 0.5000 0.3751 x4
Ga3 0.5000 0.5000 0.1907 x2
Cu1 0.0000 0.0000 0.5000 x1

---

Repeat the third record exactly.
Calculated powder diffraction line list of U2Ga8Cu for Cu Kα X-rays, from a DFT-relaxed cell (GGA-PBE, OQMD).
Intensities are scaled so that the largest is 100.

Top 8 peaks for 10 to 90 degrees two-theta, most intense first:
2θ/deg  I_rel  h k l
38.44  100  1 1 3
42.22  51  2 0 0
33.73  41  1 1 2
20.75  35  1 0 0
74.67  28  3 1 3
60.07  22  2 0 5
31.99  21  1 0 3
40.68  17  0 0 5

Cell and atoms:
Cell: 4.2809 4.2809 11.0897 Å, 90.00 90.00 90.00°
Space group P4/mmm (No. 123)
Asymmetric unit:
U1 0.0000 0.0000 0.1905 x2
Ga1 0.0000 0.5000 0.0000 x2
Ga2 0.0000 0.5000 0.3751 x4
Ga3 0.5000 0.5000 0.1907 x2
Cu1 0.0000 0.0000 0.5000 x1